No. 1
Ba3SiO5: calculated PXRD pattern (Cu Kα (weighted mean of Kα1 and Kα2)), based on a cell relaxed with PBE.
Peak positions follow from Bragg's law for the DFT cell and can differ from measured ones.

Top 12 peaks for 10° ≤ 2θ ≤ 90°, low angle first:
23.07 deg, 3.855 Å, rel. 210; 28.04 deg, 3.182 Å, rel. 491; 28.75 deg, 3.105 Å, rel. 1000; 31.44 deg, 2.846 Å, rel. 313; 34.22 deg, 2.620 Å, rel. 269; 35.97 deg, 2.496 Å, rel. 603; 38.41 deg, 2.344 Å, rel. 293; 47.15 deg, 1.928 Å, rel. 212; 50.45 deg, 1.809 Å, rel. 169; 51.47 deg, 1.775 Å, rel. 217; 54.33 deg, 1.689 Å, rel. 169; 56.67 deg, 1.624 Å, rel. 166

Structure:
```
data_Ba3SiO5
_chemical_formula_sum 'Ba6 Si2 O10'
_cell_length_a 7.7364
_cell_length_b 7.7364
_cell_length_c 7.7364
_cell_angle_alpha 122.76
_cell_angle_beta 122.76
_cell_angle_gamma 85.27
_symmetry_space_group_name_H-M 'P 1'
_symmetry_Int_Tables_number 1
_symmetry_space_group_name_Hall 'P 1'
loop_
_atom_site_label
_atom_site_fract_x
_atom_site_fract_y
_atom_site_fract_z
Ba1 0.1831 0.6831 0.8662
Ba2 0.2500 0.2500 0.0000
Ba3 0.3169 0.1831 0.5000
Ba4 0.6831 0.8169 0.5000
Ba5 0.7500 0.7500 0.0000
Ba6 0.8169 0.3169 0.1338
Si1 0.2500 0.7500 0.5000
Si2 0.7500 0.2500 0.5000
O1 0.0000 0.0000 0.0000
O2 0.0359 0.7890 0.5000
O3 0.2110 0.7110 0.2469
O4 0.2890 0.5359 0.5000
O5 0.4641 0.9641 0.7531
O6 0.5000 0.5000 0.0000
O7 0.5359 0.0359 0.2469
O8 0.7110 0.4641 0.5000
O9 0.7890 0.2890 0.7531
O10 0.9641 0.2110 0.5000
```

---

No. 2
BaSiO3: calculated PXRD pattern (Cu Kα (weighted mean of Kα1 and Kα2)), based on a cell relaxed with PBE.
Peak positions follow from Bragg's law for the DFT cell and can differ from measured ones.

Top 11 peaks for 10° ≤ 2θ ≤ 90°, low angle first:
23.18 deg, 3.837 Å, rel. 415; 33.02 deg, 2.713 Å, rel. 1000; 40.73 deg, 2.215 Å, rel. 412; 47.39 deg, 1.918 Å, rel. 365; 53.39 deg, 1.716 Å, rel. 195; 58.96 deg, 1.566 Å, rel. 387; 69.26 deg, 1.357 Å, rel. 218; 74.14 deg, 1.279 Å, rel. 99; 78.89 deg, 1.213 Å, rel. 175; 83.58 deg, 1.157 Å, rel. 130; 88.22 deg, 1.108 Å, rel. 76

Structure:
```
data_BaSiO3
_chemical_formula_sum 'Ba1 Si1 O3'
_cell_length_a 3.8369
_cell_length_b 3.8369
_cell_length_c 3.8369
_cell_angle_alpha 90.00
_cell_angle_beta 90.00
_cell_angle_gamma 90.00
_symmetry_space_group_name_H-M 'P 1'
_symmetry_Int_Tables_number 1
_symmetry_space_group_name_Hall 'P 1'
loop_
_atom_site_label
_atom_site_fract_x
_atom_site_fract_y
_atom_site_fract_z
Ba1 0.0000 0.0000 0.0000
Si1 0.5000 0.5000 0.5000
O1 0.0000 0.5000 0.5000
O2 0.5000 0.0000 0.5000
O3 0.5000 0.5000 0.0000
```

---

No. 3
Ba3Ta6Si4O23: calculated PXRD pattern (Cu Kα (weighted mean of Kα1 and Kα2)), based on a cell relaxed with PBE.
Peak positions follow from Bragg's law for the DFT cell and can differ from measured ones.

Top 12 peaks for 10° ≤ 2θ ≤ 90°, low angle first:
11.16 deg, 7.927 Å, rel. 311; 19.39 deg, 4.577 Å, rel. 416; 22.63 deg, 3.929 Å, rel. 260; 23.22 deg, 3.831 Å, rel. 312; 25.83 deg, 3.450 Å, rel. 321; 29.82 deg, 2.996 Å, rel. 1000; 30.43 deg, 2.938 Å, rel. 769; 32.50 deg, 2.755 Å, rel. 344; 38.13 deg, 2.360 Å, rel. 370; 51.95 deg, 1.760 Å, rel. 255; 55.97 deg, 1.643 Å, rel. 256; 57.06 deg, 1.614 Å, rel. 345

Structure:
```
data_Ba3Ta6Si4O23
_chemical_formula_sum 'Ba3 Ta6 Si4 O23'
_cell_length_a 9.1538
_cell_length_b 9.1538
_cell_length_c 7.6625
_cell_angle_alpha 90.00
_cell_angle_beta 90.00
_cell_angle_gamma 120.00
_symmetry_space_group_name_H-M 'P 1'
_symmetry_Int_Tables_number 1
_symmetry_space_group_name_Hall 'P 1'
loop_
_atom_site_label
_atom_site_fract_x
_atom_site_fract_y
_atom_site_fract_z
Ba1 0.0000 0.5898 0.0000
Ba2 0.4102 0.4102 0.0000
Ba3 0.5898 0.0000 0.0000
Ta1 0.0000 0.2376 0.2505
Ta2 0.0000 0.2376 0.7495
Ta3 0.2376 0.0000 0.2505
Ta4 0.2376 0.0000 0.7495
Ta5 0.7624 0.7624 0.2505
Ta6 0.7624 0.7624 0.7495
Si1 0.3333 0.6667 0.2901
Si2 0.3333 0.6667 0.7099
Si3 0.6667 0.3333 0.2901
Si4 0.6667 0.3333 0.7099
O1 0.0000 0.2799 0.5000
O2 0.0000 0.8272 0.2341
O3 0.0000 0.8272 0.7659
O4 0.1728 0.1728 0.2341
O5 0.1728 0.1728 0.7659
O6 0.1865 0.4851 0.2127
O7 0.1865 0.4851 0.7873
O8 0.2799 0.0000 0.5000
O9 0.2985 0.8135 0.2127
O10 0.2985 0.8135 0.7873
O11 0.3333 0.6667 0.5000
O12 0.4851 0.1865 0.2127
O13 0.4851 0.1865 0.7873
O14 0.5149 0.7015 0.2127
O15 0.5149 0.7015 0.7873
O16 0.6667 0.3333 0.5000
O17 0.7015 0.5149 0.2127
O18 0.7015 0.5149 0.7873
O19 0.7201 0.7201 0.5000
O20 0.8135 0.2985 0.2127
O21 0.8135 0.2985 0.7873
O22 0.8272 0.0000 0.2341
O23 0.8272 0.0000 0.7659
```

---

No. 4
Ba3Zn6Si4TeO20: calculated PXRD pattern (Cu Kα (weighted mean of Kα1 and Kα2)), based on a cell relaxed with PBE.
Peak positions follow from Bragg's law for the DFT cell and can differ from measured ones.

Top 12 peaks for 10° ≤ 2θ ≤ 90°, low angle first:
27.69 deg, 3.221 Å, rel. 761; 28.52 deg, 3.130 Å, rel. 931; 28.63 deg, 3.118 Å, rel. 310; 29.04 deg, 3.074 Å, rel. 1000; 30.77 deg, 2.906 Å, rel. 381; 31.10 deg, 2.876 Å, rel. 246; 34.45 deg, 2.603 Å, rel. 518; 35.81 deg, 2.508 Å, rel. 210; 39.68 deg, 2.272 Å, rel. 211; 46.72 deg, 1.944 Å, rel. 215; 54.70 deg, 1.678 Å, rel. 278; 55.42 deg, 1.658 Å, rel. 298

Structure:
```
data_Ba3Zn6Si4TeO20
_chemical_formula_sum 'Ba3 Zn6 Si4 Te1 O20'
_cell_length_a 9.9782
_cell_length_b 9.9782
_cell_length_c 5.2086
_cell_angle_alpha 103.98
_cell_angle_beta 103.98
_cell_angle_gamma 71.63
_symmetry_space_group_name_H-M 'P 1'
_symmetry_Int_Tables_number 1
_symmetry_space_group_name_Hall 'P 1'
loop_
_atom_site_label
_atom_site_fract_x
_atom_site_fract_y
_atom_site_fract_z
Ba1 0.0000 0.0000 0.0000
Ba2 0.2870 0.2870 0.2525
Ba3 0.7130 0.7130 0.7475
Zn1 0.1358 0.5767 0.8276
Zn2 0.3439 0.6561 0.5000
Zn3 0.4233 0.8642 0.1724
Zn4 0.5767 0.1358 0.8276
Zn5 0.6561 0.3439 0.5000
Zn6 0.8642 0.4233 0.1724
Si1 0.0194 0.2806 0.6583
Si2 0.2806 0.0194 0.6583
Si3 0.7194 0.9806 0.3417
Si4 0.9806 0.7194 0.3417
Te1 0.5000 0.5000 0.0000
O1 0.0054 0.2772 0.9639
O2 0.1100 0.1100 0.5364
O3 0.1168 0.3841 0.6586
O4 0.1345 0.6849 0.5507
O5 0.2772 0.0054 0.9639
O6 0.3110 0.5470 0.1071
O7 0.3151 0.8655 0.4493
O8 0.3841 0.1168 0.6586
O9 0.4299 0.4299 0.6330
O10 0.4530 0.6890 0.8929
O11 0.5470 0.3110 0.1071
O12 0.5701 0.5701 0.3670
O13 0.6159 0.8832 0.3414
O14 0.6849 0.1345 0.5507
O15 0.6890 0.4530 0.8929
O16 0.7228 0.9946 0.0361
O17 0.8655 0.3151 0.4493
O18 0.8832 0.6159 0.3414
O19 0.8900 0.8900 0.4636
O20 0.9946 0.7228 0.0361
```